No. 1
This entry pairs a crystal structure of ZnNi3B with its calculated X-ray diffraction stick pattern. Radiation: Cu Ka. Structure: a structure optimized by DFT (PBE).
No peak broadening, texture or thermal motion is included.

Cell and atoms:
```
data_ZnNi3B
_chemical_formula_sum 'Zn2 Ni6 B2'
_cell_length_a 5.332
_cell_length_b 5.332
_cell_length_c 4.343
_cell_angle_alpha 90.00
_cell_angle_beta 90.00
_cell_angle_gamma 120.00
_space_group_name_H-M_alt 'P 1'
_space_group_IT_number 1
loop_
_space_group_symop_operation_xyz
'x,y,z'
loop_
_atom_site_label
_atom_site_fract_x
_atom_site_fract_y
_atom_site_fract_z
Zn1 0.333 0.667 0.250
Zn2 0.667 0.333 0.750
Ni1 0.177 0.354 0.750
Ni2 0.177 0.823 0.750
Ni3 0.354 0.177 0.250
Ni4 0.646 0.823 0.750
Ni5 0.823 0.177 0.250
Ni6 0.823 0.646 0.250
B1 0.000 0.000 0.000
B2 0.000 0.000 0.500
```

Largest 10 diffraction maxima, sorted by position, 10° ≤ 2θ ≤ 90°:
2theta, intensity
39.01, 21.8
41.59, 26.3
44.43, 100.0
58.33, 15.6
64.19, 1.4
70.66, 15.2
77.88, 16.9
83.79, 1.9
85.46, 15.8
87.41, 11.7

No. 2
This entry pairs a crystal structure of KYAs2Pd4 with its calculated X-ray diffraction stick pattern. Radiation: Cu Ka. Structure: a structure optimized by DFT (PBE).
No peak broadening, texture or thermal motion is included.

Cell and atoms:
```
data_KYAs2Pd4
_chemical_formula_sum 'K1 Y1 As2 Pd4'
_cell_length_a 4.105
_cell_length_b 4.105
_cell_length_c 10.806
_cell_angle_alpha 90.00
_cell_angle_beta 90.00
_cell_angle_gamma 90.00
_space_group_name_H-M_alt 'P 1'
_space_group_IT_number 1
loop_
_space_group_symop_operation_xyz
'x,y,z'
loop_
_atom_site_label
_atom_site_fract_x
_atom_site_fract_y
_atom_site_fract_z
K1 0.000 0.000 0.000
Y1 0.000 0.000 0.500
As1 0.500 0.500 0.181
As2 0.500 0.500 0.819
Pd1 0.000 0.500 0.307
Pd2 0.000 0.500 0.693
Pd3 0.500 0.000 0.307
Pd4 0.500 0.000 0.693
```

Largest 10 diffraction maxima, sorted by position, 10° ≤ 2θ ≤ 90°:
2theta, intensity
16.41, 56.3
23.18, 15.2
27.29, 41.9
35.10, 50.0
39.89, 100.0
44.13, 52.9
47.38, 14.7
52.81, 29.8
64.18, 16.8
78.30, 26.1

No. 3
This entry pairs a crystal structure of LiCaH with its calculated X-ray diffraction stick pattern. Radiation: Cu Ka. Structure: a structure optimized by DFT (PBE).
No peak broadening, texture or thermal motion is included.

Cell and atoms:
```
data_LiCaH
_chemical_formula_sum 'Li1 Ca1 H1'
_cell_length_a 3.938
_cell_length_b 3.938
_cell_length_c 4.311
_cell_angle_alpha 90.00
_cell_angle_beta 90.00
_cell_angle_gamma 120.00
_space_group_name_H-M_alt 'P 1'
_space_group_IT_number 1
loop_
_space_group_symop_operation_xyz
'x,y,z'
loop_
_atom_site_label
_atom_site_fract_x
_atom_site_fract_y
_atom_site_fract_z
Li1 0.000 0.000 0.000
Ca1 0.333 0.667 0.500
H1 0.000 0.000 0.500
```

Largest 10 diffraction maxima, sorted by position, 10° ≤ 2θ ≤ 90°:
2theta, intensity
20.60, 47.5
26.13, 78.6
33.50, 100.0
41.91, 10.3
46.10, 22.9
50.06, 23.0
50.99, 19.9
58.18, 18.0
64.05, 15.4
77.25, 14.5

No. 4
This entry pairs a crystal structure of PrCdP2O8 with its calculated X-ray diffraction stick pattern. Radiation: Cu Ka. Structure: a structure optimized by DFT (PBE).
No peak broadening, texture or thermal motion is included.

Cell and atoms:
```
data_PrCdP2O8
_chemical_formula_sum 'Pr1 Cd1 P2 O8'
_cell_length_a 5.252
_cell_length_b 5.252
_cell_length_c 7.350
_cell_angle_alpha 90.00
_cell_angle_beta 90.00
_cell_angle_gamma 120.00
_space_group_name_H-M_alt 'P 1'
_space_group_IT_number 1
loop_
_space_group_symop_operation_xyz
'x,y,z'
loop_
_atom_site_label
_atom_site_fract_x
_atom_site_fract_y
_atom_site_fract_z
Pr1 0.000 0.000 0.000
Cd1 0.000 0.000 0.500
P1 0.333 0.667 0.793
P2 0.667 0.333 0.207
O1 0.172 0.344 0.728
O2 0.172 0.828 0.728
O3 0.333 0.667 0.004
O4 0.344 0.172 0.272
O5 0.656 0.828 0.728
O6 0.667 0.333 0.996
O7 0.828 0.172 0.272
O8 0.828 0.656 0.272
```

Largest 10 diffraction maxima, sorted by position, 10° ≤ 2θ ≤ 90°:
2theta, intensity
19.52, 100.0
23.00, 21.4
31.29, 83.1
34.14, 51.7
42.30, 39.8
46.99, 40.4
53.29, 15.3
53.81, 15.8
59.35, 25.3
61.60, 14.9

No. 5
This entry pairs a crystal structure of AcAgPbO4 with its calculated X-ray diffraction stick pattern. Radiation: Cu Ka. Structure: a structure optimized by DFT (PBE).
No peak broadening, texture or thermal motion is included.

Cell and atoms:
```
data_AcAgPbO4
_chemical_formula_sum 'Ac2 Ag2 Pb2 O8'
_cell_length_a 6.071
_cell_length_b 6.071
_cell_length_c 7.755
_cell_angle_alpha 90.00
_cell_angle_beta 90.00
_cell_angle_gamma 114.33
_space_group_name_H-M_alt 'P 1'
_space_group_IT_number 1
loop_
_space_group_symop_operation_xyz
'x,y,z'
loop_
_atom_site_label
_atom_site_fract_x
_atom_site_fract_y
_atom_site_fract_z
Ac1 0.000 0.000 0.000
Ac2 0.000 0.000 0.500
Ag1 0.311 0.689 0.750
Ag2 0.689 0.311 0.250
Pb1 0.354 0.646 0.250
Pb2 0.646 0.354 0.750
O1 0.233 0.264 0.250
O2 0.242 0.758 0.024
O3 0.242 0.758 0.476
O4 0.264 0.233 0.750
O5 0.736 0.767 0.250
O6 0.758 0.242 0.524
O7 0.758 0.242 0.976
O8 0.767 0.736 0.750
```

Largest 10 diffraction maxima, sorted by position, 10° ≤ 2θ ≤ 90°:
2theta, intensity
27.09, 52.7
28.10, 100.0
28.92, 25.6
29.57, 75.7
40.04, 33.3
48.49, 23.1
49.43, 18.5
51.06, 26.3
56.39, 25.3
70.48, 20.1

No. 6
This entry pairs a crystal structure of Ta4MoSe10 with its calculated X-ray diffraction stick pattern. Radiation: Cu Ka. Structure: a structure optimized by DFT (PBE).
No peak broadening, texture or thermal motion is included.

Cell and atoms:
```
data_Ta4MoSe10
_chemical_formula_sum 'Ta4 Mo1 Se10'
_cell_length_a 34.511
_cell_length_b 34.511
_cell_length_c 34.511
_cell_angle_alpha 5.72
_cell_angle_beta 5.72
_cell_angle_gamma 5.72
_space_group_name_H-M_alt 'P 1'
_space_group_IT_number 1
loop_
_space_group_symop_operation_xyz
'x,y,z'
loop_
_atom_site_label
_atom_site_fract_x
_atom_site_fract_y
_atom_site_fract_z
Ta1 0.000 0.000 0.000
Ta2 0.200 0.200 0.200
Ta3 0.400 0.400 0.400
Ta4 0.600 0.600 0.600
Mo1 0.800 0.800 0.800
Se1 0.117 0.117 0.117
Se2 0.149 0.149 0.149
Se3 0.317 0.317 0.317
Se4 0.350 0.350 0.350
Se5 0.517 0.517 0.517
Se6 0.549 0.549 0.549
Se7 0.717 0.717 0.717
Se8 0.750 0.750 0.750
Se9 0.917 0.917 0.917
Se10 0.950 0.950 0.950
```

Largest 10 diffraction maxima, sorted by position, 10° ≤ 2θ ≤ 90°:
2theta, intensity
12.85, 100.0
30.26, 32.5
31.20, 25.7
34.72, 42.1
37.16, 52.7
43.10, 37.9
46.49, 21.7
53.17, 39.6
54.94, 15.1
78.53, 18.7

No. 7
This entry pairs a crystal structure of KRb2BaI5 with its calculated X-ray diffraction stick pattern. Radiation: Cu Ka. Structure: a structure optimized by DFT (PBE).
No peak broadening, texture or thermal motion is included.

Cell and atoms:
```
data_KRb2BaI5
_chemical_formula_sum 'K1 Rb2 Ba1 I5'
_cell_length_a 6.611
_cell_length_b 6.611
_cell_length_c 13.340
_cell_angle_alpha 90.00
_cell_angle_beta 90.00
_cell_angle_gamma 90.00
_space_group_name_H-M_alt 'P 1'
_space_group_IT_number 1
loop_
_space_group_symop_operation_xyz
'x,y,z'
loop_
_atom_site_label
_atom_site_fract_x
_atom_site_fract_y
_atom_site_fract_z
K1 0.000 0.000 0.000
Rb1 0.500 0.500 0.279
Rb2 0.500 0.500 0.721
Ba1 0.000 0.000 0.500
I1 0.000 0.000 0.246
I2 0.000 0.000 0.754
I3 0.000 0.500 0.500
I4 0.500 0.000 0.500
I5 0.500 0.500 0.000
```

Largest 10 diffraction maxima, sorted by position, 10° ≤ 2θ ≤ 90°:
2theta, intensity
14.96, 26.4
18.98, 56.4
20.13, 30.1
23.24, 40.9
24.12, 29.5
26.73, 46.5
26.97, 100.0
38.34, 70.1
38.52, 38.1
47.50, 37.5

No. 8
This entry pairs a crystal structure of CePrAu with its calculated X-ray diffraction stick pattern. Radiation: Cu Ka. Structure: a structure optimized by DFT (PBE).
No peak broadening, texture or thermal motion is included.

Cell and atoms:
```
data_CePrAu
_chemical_formula_sum 'Ce2 Pr2 Au2'
_cell_length_a 4.627
_cell_length_b 4.311
_cell_length_c 8.399
_cell_angle_alpha 90.00
_cell_angle_beta 91.26
_cell_angle_gamma 90.00
_space_group_name_H-M_alt 'P 1'
_space_group_IT_number 1
loop_
_space_group_symop_operation_xyz
'x,y,z'
loop_
_atom_site_label
_atom_site_fract_x
_atom_site_fract_y
_atom_site_fract_z
Ce1 0.189 0.250 0.488
Ce2 0.811 0.750 0.512
Pr1 0.258 0.750 0.863
Pr2 0.742 0.250 0.137
Au1 0.273 0.750 0.227
Au2 0.727 0.250 0.773
```

Largest 10 diffraction maxima, sorted by position, 10° ≤ 2θ ≤ 90°:
2theta, intensity
28.30, 65.7
30.12, 98.0
30.43, 62.1
31.98, 62.7
35.34, 100.0
35.87, 88.5
38.34, 56.2
38.94, 60.5
41.92, 60.6
58.54, 36.9

What is the formula in the sixth record? Ta4MoSe10

Which formula does entry 5 have? AcAgPbO4